This entry pairs a crystal structure of AlSb with its theoretical powder XRD pattern. Radiation: λ = 1.5418 Å (Cu Kα). Structure: a crystal structure in the Materials Project, relaxed with GGA-PBE.
Peak positions follow from Bragg's law for the DFT cell and can differ from measured ones.

Peak list (8 most intense, 10° ≤ 2θ ≤ 90°, by angle)
| d_spacing | I/Imax |
| --- | --- |
| 3.308 | 100 |
| 3.242 | 24 |
| 2.844 | 41 |
| 2.754 | 37 |
| 2.609 | 33 |
| 1.979 | 28 |
| 1.923 | 26 |
| 1.718 | 15 |

Structure:
Cell lengths 4.3132, 4.3132, 5.2180 Å; angles 90.00, 90.00, 97.49 degrees
Fractional positions:
Al1 0.1259 0.8741 0.7500
Al2 0.8741 0.1259 0.2500
Sb1 0.3047 0.6953 0.2500
Sb2 0.6953 0.3047 0.7500

This entry pairs a crystal structure of Y2Cr2C3 with its theoretical powder XRD pattern. Radiation: λ = 1.5418 Å (Cu Kα). Structure: a crystal structure in the Materials Project, relaxed with GGA-PBE.
Peak positions follow from Bragg's law for the DFT cell and can differ from measured ones.

Peak list (8 most intense, 10° ≤ 2θ ≤ 90°, by angle)
| d_spacing | I/Imax |
| --- | --- |
| 3.257 | 23 |
| 2.691 | 56 |
| 2.654 | 100 |
| 2.562 | 18 |
| 2.517 | 30 |
| 2.353 | 86 |
| 2.140 | 20 |
| 1.692 | 20 |

Structure:
Cell lengths 5.4967, 5.4967, 5.5800 Å; angles 104.98, 104.98, 35.85 degrees
Fractional positions:
Y1 0.1058 0.1058 0.3176
Y2 0.8942 0.8942 0.6824
Cr1 0.3433 0.3433 0.1089
Cr2 0.6567 0.6567 0.8911
C1 0.2140 0.2140 0.7716
C2 0.5000 0.5000 0.0000
C3 0.7860 0.7860 0.2284

- Number 2 is which compound?
  Y2Cr2C3